(1)
Theoretical X-ray diffraction stick pattern
Compound: Zr7Bi2H2Pb
Radiation: CuKα
Structure: a GGA-PBE-relaxed structure
Lines closer than 0.1° are merged.

Largest 12 diffraction maxima, most intense first, 2θ = 10–90°:
| Position (°2θ) | I_rel | index |
| --- | --- | --- |
| 35.29 | 100 | 2 0 2 |
| 36.17 | 77 | 0 2 3 |
| 41.70 | 71 | 2 2 -1 |
| 33.00 | 38 | 2 0 -3 |
| 32.45 | 34 | 0 2 2 |
| 29.15 | 32 | 0 2 0 |
| 56.65 | 27 | 2 2 -6 |
| 20.92 | 26 | 0 0 3 |
| 72.00 | 25 | 2 4 2 |
| 36.94 | 20 | 2 0 -4 |
| 20.69 | 17 | 1 1 0 |
| 60.49 | 17 | 0 4 0 |

Atomic structure:
a = 6.137 Å, b = 6.123 Å, c = 12.978 Å
α = 90.00°, β = 101.07°, γ = 90.00°
Space group C2/m (No. 12)
Unique sites:
Zr (0.000, 0.000, 0.000) x2
Zr (0.158, 0.000, 0.402) x4
Zr (0.173, 0.249, 0.810) x8
Bi (0.149, 0.500, 0.366) x4
H (0.069, 0.000, 0.168) x4
Pb (0.000, 0.500, 0.000) x2

(2)
Theoretical X-ray diffraction stick pattern
Compound: BiH3Pd3
Radiation: CuKα
Structure: a GGA-PBE-relaxed structure
Lines closer than 0.1° are merged.

Largest 12 diffraction maxima, most intense first, 2θ = 10–90°:
| Position (°2θ) | I_rel | index |
| --- | --- | --- |
| 35.38 | 100 | 1 1 3 |
| 41.74 | 63 | 2 -1 6 |
| 37.58 | 28 | 0 0 9 |
| 72.08 | 25 | 3 0 9 |
| 59.00 | 23 | 3 0 0 |
| 74.83 | 22 | 2 -1 15 |
| 62.00 | 20 | 1 1 12 |
| 19.34 | 18 | 1 0 1 |
| 20.63 | 15 | 0 1 2 |
| 70.71 | 13 | 4 -2 3 |
| 25.16 | 8 | 1 0 4 |
| 38.55 | 5 | 0 1 8 |

Atomic structure:
a = 5.4237 Å, b = 5.4237 Å, c = 21.5408 Å
α = 90.00°, β = 90.00°, γ = 120.00°
Space group R-3 (No. 148, hexagonal axes)
Unique sites:
Bi (0.0000, 0.0000, 0.1658) x6
H (0.0015, 0.3227, 0.6272) x18
Pd (0.0021, 0.3413, 0.3885) x18